Calculated powder diffraction line list
Compound: Zn6GaRu2
Radiation: Cu Kα X-rays
Structure: the GGA-PBE geometry in Alexandria

Most intense lines, 2θ from 10° to 90°, in order of rising 2θ:
- 40.55°, I = 100
- 40.70°, I = 99
- 44.60°, I = 39
- 48.30°, I = 26
- 48.80°, I = 30
- 68.24°, I = 22
- 71.09°, I = 15
- 79.29°, I = 13
- 79.60°, I = 12
- 85.57°, I = 11

Cell and atoms:
Unit cell a=6.375 b=6.375 c=6.018 alpha=109.14 beta=109.14 gamma=34.04
Positions (direct):
Zn 0.105 0.105 0.148
Zn 0.226 0.226 0.842
Zn 0.328 0.328 0.501
Zn 0.672 0.672 0.499
Zn 0.774 0.774 0.158
Zn 0.895 0.895 0.852
Ga 0.000 0.000 0.500
Ru 0.450 0.450 0.203
Ru 0.550 0.550 0.797